For BaSi3Pt, a DFT-relaxed cell (PBE, the Materials Project) gives the simulated powder XRD pattern in this record (Cu Kα, 1.54184 Å).

Cell lengths 4.432, 4.432, 10.189 Å; angles 90.00, 90.00, 90.00 degrees
Space group I4mm (No. 107)
Asymmetric unit:
1 Ba 0.000 0.000 0.000 (multiplicity 2)
2 Si 0.000 0.000 0.396 (multiplicity 2)
3 Si 0.000 0.500 0.256 (multiplicity 4)
4 Pt 0.000 0.000 0.650 (multiplicity 2)

Largest 10 diffraction maxima, sorted by position, 10° ≤ 2θ ≤ 80°:
two_theta, Rel. int.
17.4, 249
21.9, 495
28.5, 606
33.2, 1000
33.6, 406
40.7, 449
49.2, 192
53.5, 519
62.2, 170
65.7, 163

For BaSiPt, a DFT-relaxed cell (PBE, the Materials Project) gives the simulated powder XRD pattern in this record (Cu Kα, 1.54184 Å).

Cell lengths 6.717, 6.717, 6.717 Å; angles 90.00, 90.00, 90.00 degrees
Space group P2_13 (No. 198)
Asymmetric unit:
1 Ba 0.118 0.382 0.618 (multiplicity 4)
2 Si 0.095 0.905 0.405 (multiplicity 4)
3 Pt 0.156 0.156 0.156 (multiplicity 4)

Largest 10 diffraction maxima, sorted by position, 10° ≤ 2θ ≤ 80°:
two_theta, Rel. int.
22.9, 226
29.7, 1000
32.7, 853
44.8, 139
50.9, 537
54.7, 152
56.5, 119
60.0, 130
63.5, 174
76.4, 173

For Rb3Ba, a DFT-relaxed cell (PBE, the Materials Project) gives the simulated powder XRD pattern in this record (Cu Kα, 1.54184 Å).

Cell lengths 6.743, 6.743, 14.743 Å; angles 90.00, 90.00, 90.00 degrees
Space group I4/mmm (No. 139)
Asymmetric unit:
1 Rb 0.000 0.000 0.000 (multiplicity 2)
2 Rb 0.000 0.500 0.250 (multiplicity 4)
3 Ba 0.000 0.000 0.500 (multiplicity 2)

Largest 10 diffraction maxima, sorted by position, 10° ≤ 2θ ≤ 80°:
two_theta, Rel. int.
22.2, 1000
24.1, 204
26.4, 325
36.1, 283
37.7, 125
41.3, 192
44.2, 317
45.3, 147
57.2, 146
67.1, 92

For RbBa3, a DFT-relaxed cell (PBE, the Materials Project) gives the simulated powder XRD pattern in this record (Cu Kα, 1.54184 Å).

Cell lengths 6.405, 6.405, 13.593 Å; angles 90.00, 90.00, 90.00 degrees
Space group I4/mmm (No. 139)
Asymmetric unit:
1 Rb 0.000 0.000 0.000 (multiplicity 2)
2 Ba 0.000 0.000 0.500 (multiplicity 2)
3 Ba 0.000 0.500 0.250 (multiplicity 4)

Largest 10 diffraction maxima, sorted by position, 10° ≤ 2θ ≤ 80°:
two_theta, Rel. int.
23.6, 1000
26.2, 193
27.9, 331
38.6, 273
39.8, 126
44.7, 180
46.8, 313
48.3, 143
61.4, 140
71.5, 89

For RbBa3, a DFT-relaxed cell (PBE, the Materials Project) gives the simulated powder XRD pattern in this record (Cu Kα, 1.54184 Å).

Cell lengths 10.362, 10.362, 10.362 Å; angles 90.00, 90.00, 90.00 degrees
Space group Fm-3m (No. 225)
Asymmetric unit:
1 Rb 0.000 0.000 0.000 (multiplicity 4)
2 Ba 0.000 0.000 0.500 (multiplicity 4)
3 Ba 0.250 0.250 0.250 (multiplicity 8)

Largest 10 diffraction maxima, sorted by position, 10° ≤ 2θ ≤ 80°:
two_theta, Rel. int.
14.8, 18
24.3, 1000
34.6, 199
42.7, 438
49.8, 140
56.1, 195
62.1, 48
67.7, 225
73.0, 23
78.3, 113

For Rb3Ba, a DFT-relaxed cell (PBE, the Materials Project) gives the simulated powder XRD pattern in this record (Cu Kα, 1.54184 Å).

Cell lengths 11.029, 11.029, 11.029 Å; angles 90.00, 90.00, 90.00 degrees
Space group Fm-3m (No. 225)
Asymmetric unit:
1 Rb 0.000 0.000 0.000 (multiplicity 4)
2 Rb 0.250 0.250 0.250 (multiplicity 8)
3 Ba 0.000 0.000 0.500 (multiplicity 4)

Largest 10 diffraction maxima, sorted by position, 10° ≤ 2θ ≤ 80°:
two_theta, Rel. int.
13.9, 27
22.8, 1000
32.5, 202
40.1, 449
46.6, 144
52.5, 202
57.9, 50
63.1, 232
72.8, 115
77.4, 65

For BaRe3, a DFT-relaxed cell (PBE, the Materials Project) gives the simulated powder XRD pattern in this record (Cu Kα, 1.54184 Å).

Cell lengths 6.668, 6.668, 6.668 Å; angles 90.00, 90.00, 90.00 degrees
Space group Fm-3m (No. 225)
Asymmetric unit:
1 Ba 0.000 0.000 0.000 (multiplicity 4)
2 Re 0.000 0.000 0.500 (multiplicity 4)
3 Re 0.250 0.250 0.250 (multiplicity 8)

Largest 6 diffraction maxima, sorted by position, 10° ≤ 2θ ≤ 80°:
two_theta, Rel. int.
23.1, 13
26.7, 7
38.2, 1000
45.1, 8
55.1, 174
69.0, 358

For BaRh2, a DFT-relaxed cell (PBE, the Materials Project) gives the simulated powder XRD pattern in this record (Cu Kα, 1.54184 Å).

Cell lengths 7.971, 7.971, 7.971 Å; angles 90.00, 90.00, 90.00 degrees
Space group Fd-3m (No. 227, origin choice 2)
Asymmetric unit:
1 Ba 0.125 0.125 0.125 (multiplicity 8)
2 Rh 0.000 0.000 0.500 (multiplicity 16)

Largest 10 diffraction maxima, sorted by position, 10° ≤ 2θ ≤ 80°:
two_theta, Rel. int.
31.8, 343
37.4, 1000
39.1, 332
45.5, 23
56.6, 130
60.3, 325
66.3, 272
75.4, 57
78.7, 113
79.8, 120

For BaSi9Rh2, a DFT-relaxed cell (PBE, the Materials Project) gives the simulated powder XRD pattern in this record (Cu Kα, 1.54184 Å).

Cell lengths 6.263, 21.538, 6.278 Å; angles 90.00, 90.29, 90.00 degrees
Space group C2/c (No. 15)
Asymmetric unit:
1 Ba 0.000 0.187 0.250 (multiplicity 4)
2 Si 0.000 0.249 0.750 (multiplicity 4)
3 Si 0.000 0.340 0.524 (multiplicity 8)
4 Si 0.128 0.044 0.111 (multiplicity 8)
5 Si 0.128 0.456 0.389 (multiplicity 8)
6 Si 0.227 0.159 0.753 (multiplicity 8)
7 Rh 0.000 0.068 0.750 (multiplicity 4)
8 Rh 0.000 0.430 0.750 (multiplicity 4)

Largest 10 diffraction maxima, sorted by position, 10° ≤ 2θ ≤ 80°:
two_theta, Rel. int.
23.6, 848
28.5, 1000
28.9, 524
33.3, 389
34.2, 265
36.1, 267
44.3, 402
47.5, 261
50.7, 332
51.0, 274

For BaSn6Ru3, a DFT-relaxed cell (PBE, the Materials Project) gives the simulated powder XRD pattern in this record (Cu Kα, 1.54184 Å).

Cell lengths 8.235, 26.521, 4.479 Å; angles 90.00, 90.00, 90.00 degrees
Space group Cmcm (No. 63)
Asymmetric unit:
1 Ba 0.000 0.088 0.250 (multiplicity 4)
2 Sn 0.000 0.250 0.250 (multiplicity 4)
3 Sn 0.000 0.365 0.750 (multiplicity 4)
4 Sn 0.190 0.177 0.750 (multiplicity 8)
5 Sn 0.193 0.454 0.250 (multiplicity 8)
6 Ru 0.000 0.462 0.750 (multiplicity 4)
7 Ru 0.189 0.285 0.750 (multiplicity 8)

Largest 10 diffraction maxima, sorted by position, 10° ≤ 2θ ≤ 80°:
two_theta, Rel. int.
11.3, 350
28.2, 418
30.2, 920
32.8, 283
33.6, 370
34.7, 315
38.6, 347
38.9, 343
39.8, 471
40.3, 1000

For BaS3, a DFT-relaxed cell (PBE, the Materials Project) gives the simulated powder XRD pattern in this record (Cu Kα, 1.54184 Å).

Cell lengths 8.610, 10.125, 5.107 Å; angles 90.00, 90.00, 90.00 degrees
Space group P2_12_12 (No. 18)
Asymmetric unit:
1 Ba 0.000 0.000 0.007 (multiplicity 2)
2 Ba 0.000 0.500 0.977 (multiplicity 2)
3 S 0.187 0.208 0.594 (multiplicity 4)
4 S 0.246 0.009 0.530 (multiplicity 4)
5 S 0.249 0.249 0.984 (multiplicity 4)

Largest 10 diffraction maxima, sorted by position, 10° ≤ 2θ ≤ 80°:
two_theta, Rel. int.
17.4, 366
17.5, 350
24.8, 234
27.1, 560
27.2, 572
32.4, 1000
35.1, 259
35.5, 275
45.0, 234
45.2, 238